Entry 1:
La12Si4SnS28: theoretical XRD peak list (copper Kα), based on a structure optimized by DFT (GGA-PBE).

Unit cell a=10.396 b=11.623 c=11.904 alpha=60.81 beta=64.11 gamma=89.98
Space group P1 (No. 1)
Unique sites:
La 0.000 0.000 0.000 [1 per cell]
La 0.001 0.475 0.020 [1 per cell]
La 0.237 0.010 0.474 [1 per cell]
La 0.249 0.491 0.485 [1 per cell]
La 0.350 0.299 0.902 [1 per cell]
La 0.359 0.793 0.877 [1 per cell]
La 0.467 0.420 0.130 [1 per cell]
La 0.487 0.939 0.120 [1 per cell]
La 0.752 0.545 0.375 [1 per cell]
La 0.777 0.067 0.361 [1 per cell]
La 0.878 0.693 0.615 [1 per cell]
La 0.892 0.188 0.592 [1 per cell]
Si 0.454 0.154 0.580 [1 per cell]
Si 0.454 0.659 0.578 [1 per cell]
Si 0.786 0.247 0.908 [1 per cell]
Si 0.788 0.740 0.919 [1 per cell]
Sn 0.120 0.753 0.246 [1 per cell]
S 0.001 0.249 0.761 [1 per cell]
S 0.005 0.738 0.779 [1 per cell]
S 0.035 0.713 0.089 [1 per cell]
S 0.036 0.211 0.070 [1 per cell]
S 0.200 0.787 0.409 [1 per cell]
S 0.208 0.288 0.418 [1 per cell]
S 0.237 0.012 0.723 [1 per cell]
S 0.237 0.518 0.719 [1 per cell]
S 0.284 0.990 0.003 [1 per cell]
S 0.292 0.503 0.988 [1 per cell]
S 0.360 0.677 0.162 [1 per cell]
S 0.383 0.166 0.159 [1 per cell]
S 0.449 0.332 0.591 [1 per cell]
S 0.459 0.845 0.568 [1 per cell]
S 0.529 0.695 0.360 [1 per cell]
S 0.530 0.193 0.364 [1 per cell]
S 0.595 0.046 0.657 [1 per cell]
S 0.597 0.551 0.652 [1 per cell]
S 0.639 0.703 0.851 [1 per cell]
S 0.649 0.213 0.829 [1 per cell]
S 0.709 0.559 0.135 [1 per cell]
S 0.718 0.067 0.125 [1 per cell]
S 0.785 0.425 0.913 [1 per cell]
S 0.789 0.925 0.913 [1 per cell]
S 0.861 0.330 0.335 [1 per cell]
S 0.878 0.829 0.325 [1 per cell]
S 0.945 0.989 0.510 [1 per cell]
S 0.964 0.516 0.487 [1 per cell]

Main lines, in order of falling intensity (2θ = 10–90°):
25.02°, intensity 100, (2 -2 1); 35.97°, intensity 59, (3 0 -1); 39.28°, intensity 55, (4 -2 0); 22.96°, intensity 49, (2 2 2); 36.82°, intensity 38, (2 4 4); 40.84°, intensity 36, (3 -4 0); 26.19°, intensity 34, (1 0 3); 48.05°, intensity 32, (-1 4 5); 18.17°, intensity 32, (0 2 2); 34.51°, intensity 31, (4 0 2)

Entry 2:
La5SmS6: theoretical XRD peak list (copper Kα), based on a structure optimized by DFT (GGA-PBE).

Unit cell a=7.155 b=12.410 c=7.155 alpha=90.00 beta=109.64 gamma=90.00
Space group C2/m (No. 12)
Unique sites:
La 0.000 0.000 0.000 [2 per cell]
La 0.000 0.166 0.500 [4 per cell]
La 0.000 0.332 0.000 [4 per cell]
Sm 0.000 0.500 0.500 [2 per cell]
S 0.245 0.500 0.252 [4 per cell]
S 0.246 0.336 0.746 [8 per cell]

Main lines, in order of falling intensity (2θ = 10–90°):
30.60°, intensity 100, (1 3 1); 26.42°, intensity 71, (2 0 0); 43.81°, intensity 61, (0 6 0); 72.30°, intensity 27, (4 6 0); 51.87°, intensity 24, (2 6 0); 54.33°, intensity 13, (2 6 -2); 54.47°, intensity 13, (4 0 0); 80.45°, intensity 12, (4 6 -4); 43.93°, intensity 12, (2 0 2); 51.98°, intensity 12, (3 3 1)

Entry 3:
LaSm3S6: theoretical XRD peak list (copper Kα), based on a structure optimized by DFT (GGA-PBE).

Unit cell a=11.296 b=4.099 c=11.589 alpha=90.00 beta=108.35 gamma=90.00
Space group P2_1/m (No. 11)
Unique sites:
La 0.048 0.250 0.191 [2 per cell]
Sm 0.161 0.250 0.586 [2 per cell]
Sm 0.320 0.750 0.997 [2 per cell]
Sm 0.439 0.250 0.332 [2 per cell]
S 0.083 0.750 0.404 [2 per cell]
S 0.116 0.250 0.962 [2 per cell]
S 0.193 0.750 0.749 [2 per cell]
S 0.262 0.750 0.226 [2 per cell]
S 0.397 0.250 0.561 [2 per cell]
S 0.478 0.250 0.110 [2 per cell]

Main lines, in order of falling intensity (2θ = 10–90°):
23.63°, intensity 100, (3 0 -1); 23.03°, intensity 82, (1 0 -3); 30.07°, intensity 77, (2 1 1); 41.27°, intensity 66, (4 1 -3); 25.48°, intensity 65, (1 1 1); 33.26°, intensity 53, (3 1 0); 44.19°, intensity 50, (0 2 0); 26.83°, intensity 48, (1 1 -2); 42.58°, intensity 44, (1 1 4); 26.63°, intensity 44, (2 0 2)

Entry 4:
LaSm6S8: theoretical XRD peak list (copper Kα), based on a structure optimized by DFT (GGA-PBE).

Unit cell a=11.355 b=11.355 c=11.355 alpha=90.00 beta=90.00 gamma=90.00
Space group Fm-3m (No. 225)
Unique sites:
La 0.000 0.000 0.000 [4 per cell]
Sm 0.000 0.250 0.250 [24 per cell]
S 0.000 0.000 0.255 [24 per cell]
S 0.250 0.250 0.250 [8 per cell]

Main lines, in order of falling intensity (2θ = 10–90°):
31.51°, intensity 100, (4 0 0); 45.17°, intensity 72, (4 4 0); 27.20°, intensity 66, (2 2 2); 53.53°, intensity 33, (6 2 2); 74.78°, intensity 32, (8 4 0); 56.12°, intensity 25, (4 4 4); 83.39°, intensity 24, (8 4 4); 72.58°, intensity 13, (6 6 2); 65.79°, intensity 12, (8 0 0); 89.75°, intensity 11, (10 2 2)

Entry 5:
La5Sm3S8: theoretical XRD peak list (copper Kα), based on a structure optimized by DFT (GGA-PBE).

Unit cell a=8.2010 b=8.2010 c=20.1079 alpha=90.00 beta=90.00 gamma=120.00
Space group R-3m (No. 166, hexagonal axes)
Unique sites:
La 0.0000 0.0000 0.0000 [3 per cell]
La 0.0000 0.0000 0.5000 [3 per cell]
La 0.0000 0.5000 0.0000 [9 per cell]
Sm 0.0000 0.5000 0.5000 [9 per cell]
S 0.0000 0.0000 0.2465 [6 per cell]
S 0.0049 0.5025 0.7525 [18 per cell]

Main lines, in order of falling intensity (2θ = 10–90°):
30.83°, intensity 100, (0 2 4); 26.62°, intensity 73, (0 0 6); 44.16°, intensity 72, (2 2 0); 52.31°, intensity 36, (0 2 10); 72.93°, intensity 32, (2 4 4); 54.82°, intensity 25, (4 0 4); 81.24°, intensity 24, (6 0 0); 70.80°, intensity 15, (2 0 14); 64.23°, intensity 12, (0 4 8); 87.35°, intensity 12, (0 0 18)

Entry 6:
La4Sm3YS8: theoretical XRD peak list (copper Kα), based on a structure optimized by DFT (GGA-PBE).

Unit cell a=8.1310 b=8.1310 c=20.0047 alpha=90.00 beta=90.00 gamma=120.00
Space group R-3m (No. 166, hexagonal axes)
Unique sites:
La 0.0000 0.0000 0.0000 [3 per cell]
La 0.0000 0.5000 0.0000 [9 per cell]
Sm 0.0000 0.5000 0.5000 [9 per cell]
Y 0.0000 0.0000 0.5000 [3 per cell]
S 0.0000 0.0000 0.2465 [6 per cell]
S 0.0044 0.5022 0.2454 [18 per cell]

Main lines, in order of falling intensity (2θ = 10–90°):
31.06°, intensity 100, (0 2 4); 26.85°, intensity 52, (2 0 2); 44.44°, intensity 36, (2 0 8); 44.57°, intensity 36, (2 2 0); 52.76°, intensity 26, (2 2 6); 55.32°, intensity 19, (4 0 4); 82.06°, intensity 18, (6 0 0); 26.74°, intensity 18, (0 0 6); 73.66°, intensity 16, (2 4 4); 73.46°, intensity 16, (2 2 12)

Which formula does entry 3 have?
LaSm3S6